No. 1
For Tb3ErCd3, the GGA-PBE geometry in Alexandria gives the theoretical X-ray powder pattern in this record (copper Kα).
Kinematic intensities with the Lorentz-polarization factor, no thermal factor.

Top 10 peaks for 10 to 80 degrees two-theta, by angle:
| 2θ/deg | d/Å | I_rel |
| --- | --- | --- |
| 23.5 | 3.781 | 9 |
| 29.2 | 3.056 | 9 |
| 33.2 | 2.695 | 27 |
| 33.8 | 2.653 | 24 |
| 35.1 | 2.557 | 100 |
| 48.1 | 1.890 | 14 |
| 52.7 | 1.736 | 9 |
| 60.6 | 1.528 | 14 |
| 61.3 | 1.512 | 13 |
| 64.1 | 1.453 | 8 |

```
14
Lattice="5.305 -5.389 0.000 5.305 5.389 0.000 0.000 0.000 6.943" Properties=species:S:1:pos:R:3 pbc="T T T"
Tb 2.124 0.000 3.472
Tb 5.305 3.118 0.000
Tb 2.738 0.000 0.000
Tb 7.872 0.000 0.000
Tb 5.305 -3.118 0.000
Tb 8.486 0.000 3.472
Er 5.305 2.493 3.472
Er 5.305 -2.493 3.472
Cd 2.653 2.695 1.753
Cd 2.653 2.695 5.190
Cd 2.653 -2.695 1.753
Cd 2.653 -2.695 5.190
Cd 5.305 0.000 1.698
Cd 5.305 0.000 5.246
```

***

No. 2
For Li3HfPa2Se6, the GGA-PBE geometry in Alexandria gives the theoretical X-ray powder pattern in this record (copper Kα).
Kinematic intensities with the Lorentz-polarization factor, no thermal factor.

Top 10 peaks for 10 to 80 degrees two-theta, by angle:
| 2θ/deg | d/Å | I_rel |
| --- | --- | --- |
| 13.1 | 6.780 | 100 |
| 27.0 | 3.308 | 65 |
| 31.9 | 2.803 | 91 |
| 32.1 | 2.791 | 46 |
| 34.8 | 2.579 | 26 |
| 44.5 | 2.037 | 18 |
| 44.9 | 2.020 | 35 |
| 46.9 | 1.938 | 31 |
| 47.1 | 1.931 | 16 |
| 58.1 | 1.588 | 17 |

```
12
Lattice="8.753 -1.931 0.000 8.753 1.931 0.000 -2.377 0.000 7.810" Properties=species:S:1:pos:R:3 pbc="T T T"
Li 0.000 0.000 0.000
Li 4.233 0.000 5.211
Li 10.896 0.000 2.599
Hf -1.188 0.000 3.905
Pa 5.416 0.000 1.283
Pa 9.713 0.000 6.526
Se 2.553 0.000 0.752
Se 1.504 0.000 4.439
Se 6.948 0.000 5.745
Se 8.182 0.000 2.065
Se 13.625 0.000 3.371
Se 12.576 0.000 7.057
```

***

No. 3
For Ta2VSe4, the GGA-PBE geometry in Alexandria gives the theoretical X-ray powder pattern in this record (copper Kα).
Kinematic intensities with the Lorentz-polarization factor, no thermal factor.

Top 10 peaks for 10 to 80 degrees two-theta, by angle:
| 2θ/deg | d/Å | I_rel |
| --- | --- | --- |
| 14.2 | 6.239 | 95 |
| 29.2 | 3.060 | 19 |
| 32.1 | 2.792 | 44 |
| 32.4 | 2.763 | 100 |
| 39.2 | 2.298 | 32 |
| 41.0 | 2.200 | 40 |
| 41.6 | 2.169 | 59 |
| 43.9 | 2.064 | 20 |
| 50.5 | 1.808 | 22 |
| 52.4 | 1.747 | 24 |

```
7
Lattice="6.915 -1.747 0.000 6.915 1.747 0.000 -2.735 0.000 5.721" Properties=species:S:1:pos:R:3 pbc="T T T"
Ta 2.887 0.000 1.018
Ta 8.208 0.000 4.703
V 5.547 0.000 2.861
Se 0.606 0.000 2.723
Se 5.385 0.000 0.311
Se 5.709 0.000 5.410
Se 10.489 0.000 2.998
```

***

No. 4
For CaPrY14, the GGA-PBE geometry in Alexandria gives the theoretical X-ray powder pattern in this record (copper Kα).
Kinematic intensities with the Lorentz-polarization factor, no thermal factor.

Top 10 peaks for 10 to 80 degrees two-theta, by angle:
| 2θ/deg | d/Å | I_rel |
| --- | --- | --- |
| 29.5 | 3.026 | 43 |
| 30.7 | 2.908 | 34 |
| 32.5 | 2.759 | 100 |
| 36.9 | 2.437 | 24 |
| 48.8 | 1.868 | 11 |
| 50.4 | 1.809 | 25 |
| 55.8 | 1.649 | 20 |
| 60.2 | 1.536 | 29 |
| 61.3 | 1.513 | 15 |
| 64.1 | 1.453 | 8 |

```
16
Lattice="11.631 0.000 0.000 0.000 3.618 6.271 0.000 -3.618 6.271" Properties=species:S:1:pos:R:3 pbc="T T T"
Ca 0.000 0.000 0.000
Pr 0.000 0.000 6.257
Y 0.000 -1.808 3.135
Y 0.000 1.808 3.135
Y 2.899 0.000 4.173
Y 2.958 0.000 10.419
Y 2.970 -1.787 7.325
Y 2.970 1.787 7.325
Y 5.815 0.000 2.087
Y 5.815 -1.806 5.211
Y 5.815 1.806 5.211
Y 5.815 0.000 8.348
Y 8.661 -1.787 7.325
Y 8.661 1.787 7.325
Y 8.673 0.000 10.419
Y 8.732 0.000 4.173
```

***

No. 5
For SmBIr, the GGA-PBE geometry in Alexandria gives the theoretical X-ray powder pattern in this record (copper Kα).
Kinematic intensities with the Lorentz-polarization factor, no thermal factor.

Top 10 peaks for 10 to 80 degrees two-theta, by angle:
| 2θ/deg | d/Å | I_rel |
| --- | --- | --- |
| 27.9 | 3.197 | 27 |
| 34.6 | 2.592 | 100 |
| 40.7 | 2.214 | 15 |
| 49.4 | 1.846 | 26 |
| 50.1 | 1.820 | 11 |
| 57.7 | 1.598 | 4 |
| 61.7 | 1.503 | 19 |
| 65.9 | 1.418 | 22 |
| 70.2 | 1.340 | 13 |
| 73.0 | 1.296 | 4 |

```
3
Lattice="3.691 0.000 0.000 -1.846 3.197 0.000 0.000 0.000 4.429" Properties=species:S:1:pos:R:3 pbc="T T T"
Sm 0.000 0.000 0.000
B 0.000 2.131 2.214
Ir 1.846 1.066 2.214
```

***

No. 6
For Cs3MgZn2F9, the GGA-PBE geometry in Alexandria gives the theoretical X-ray powder pattern in this record (copper Kα).
Kinematic intensities with the Lorentz-polarization factor, no thermal factor.

Top 10 peaks for 10 to 80 degrees two-theta, by angle:
| 2θ/deg | d/Å | I_rel |
| --- | --- | --- |
| 20.8 | 4.272 | 13 |
| 29.6 | 3.020 | 100 |
| 36.4 | 2.466 | 24 |
| 42.3 | 2.136 | 40 |
| 47.6 | 1.910 | 6 |
| 52.5 | 1.744 | 40 |
| 61.4 | 1.510 | 24 |
| 69.6 | 1.351 | 18 |
| 73.5 | 1.288 | 8 |
| 77.4 | 1.233 | 8 |

```
15
Lattice="6.039 0.000 0.000 -3.019 5.230 0.000 0.000 0.000 7.404" Properties=species:S:1:pos:R:3 pbc="T T T"
Cs 0.000 0.000 0.000
Cs 0.000 3.486 4.951
Cs 3.019 1.743 2.454
Mg 0.000 0.000 3.702
Zn 0.000 3.486 1.267
Zn 3.019 1.743 6.137
F -1.510 2.615 0.000
F 0.000 1.729 2.485
F -1.522 4.365 2.485
F 1.497 0.864 4.919
F 3.019 0.000 0.000
F 1.510 2.615 0.000
F 1.522 4.365 2.485
F 4.542 0.864 4.919
F 3.019 3.501 4.919
```

***

No. 7
For Sm6SiTe3S2, the GGA-PBE geometry in Alexandria gives the theoretical X-ray powder pattern in this record (copper Kα).
Kinematic intensities with the Lorentz-polarization factor, no thermal factor.

Top 10 peaks for 10 to 80 degrees two-theta, by angle:
| 2θ/deg | d/Å | I_rel |
| --- | --- | --- |
| 24.8 | 3.585 | 11 |
| 25.9 | 3.446 | 14 |
| 29.6 | 3.018 | 100 |
| 32.1 | 2.784 | 18 |
| 41.6 | 2.171 | 32 |
| 43.1 | 2.099 | 38 |
| 53.2 | 1.723 | 19 |
| 58.3 | 1.582 | 13 |
| 70.7 | 1.332 | 16 |
| 78.0 | 1.225 | 10 |

```
12
Lattice="3.636 -6.295 0.000 3.636 6.295 0.000 -2.418 0.000 7.219" Properties=species:S:1:pos:R:3 pbc="T T T"
Sm 1.207 2.089 1.537
Sm -0.004 0.000 5.693
Sm 1.207 -2.089 1.537
Sm 3.647 2.089 5.682
Sm 4.858 0.000 1.526
Sm 3.647 -2.089 5.682
Si 0.000 0.000 0.000
Te 2.427 4.204 3.610
Te 2.427 0.000 3.610
Te 2.427 -4.204 3.610
S 3.636 2.100 0.000
S 3.636 -2.100 0.000
```

***

No. 8
For Tl2CuAsCl6, the GGA-PBE geometry in Alexandria gives the theoretical X-ray powder pattern in this record (copper Kα).
Kinematic intensities with the Lorentz-polarization factor, no thermal factor.

Top 10 peaks for 10 to 80 degrees two-theta, by angle:
| 2θ/deg | d/Å | I_rel |
| --- | --- | --- |
| 17.6 | 5.031 | 15 |
| 25.0 | 3.558 | 100 |
| 30.8 | 2.905 | 40 |
| 35.7 | 2.516 | 52 |
| 44.1 | 2.054 | 46 |
| 51.4 | 1.779 | 36 |
| 58.0 | 1.591 | 21 |
| 61.1 | 1.517 | 16 |
| 64.1 | 1.452 | 12 |
| 70.0 | 1.345 | 24 |

```
10
Lattice="0.000 5.031 5.036 5.028 0.000 5.036 5.028 5.031 0.000" Properties=species:S:1:pos:R:3 pbc="T T T"
Tl 2.514 2.515 2.518
Tl 7.542 7.546 7.554
Cu 0.000 0.000 0.000
As 5.028 5.031 5.036
Cl 5.028 5.031 2.503
Cl 5.028 2.497 5.036
Cl 7.563 5.031 5.036
Cl 2.492 5.031 5.036
Cl 5.028 7.565 5.036
Cl 5.028 5.031 7.570
```